# 1
Starting from a cell relaxed with GGA-PBE, the powder diffractogram of MgSi2 was computed for copper Kα.
Intensities are scaled so that the largest is 100.

Main lines, by angle (10 to 90 degrees two-theta):
32.61 deg, d 2.746, rel. 24; 35.66 deg, d 2.517, rel. 29; 36.45 deg, d 2.465, rel. 26; 37.97 deg, d 2.369, rel. 84; 38.92 deg, d 2.314, rel. 86; 39.21 deg, d 2.297, rel. 36; 40.86 deg, d 2.209, rel. 36; 42.27 deg, d 2.138, rel. 100

Cell lengths 7.756, 2.746, 9.325 Å; angles 90.00, 96.96, 90.00 degrees
Fractional coordinates of all 12 atoms:
Mg  0.105  0.000  0.356
Mg  0.391  0.000  0.856
Mg  0.609  0.000  0.144
Mg  0.895  0.000  0.644
Si  0.063  0.500  0.879
Si  0.232  0.500  0.611
Si  0.276  0.500  0.110
Si  0.434  0.500  0.370
Si  0.566  0.500  0.630
Si  0.724  0.500  0.890
Si  0.768  0.500  0.389
Si  0.937  0.500  0.121

# 2
Starting from a cell relaxed with GGA-PBE, the powder diffractogram of MgAg2Br2O4 was computed for copper Kα.
Intensities are scaled so that the largest is 100.

Main lines, by angle (10 to 90 degrees two-theta):
14.89 deg, d 5.949, rel. 100; 20.73 deg, d 4.286, rel. 63; 21.08 deg, d 4.214, rel. 59; 30.64 deg, d 2.918, rel. 72; 31.12 deg, d 2.874, rel. 95; 32.04 deg, d 2.794, rel. 54; 34.36 deg, d 2.610, rel. 43; 37.80 deg, d 2.380, rel. 40

Cell lengths 3.696, 5.037, 12.150 Å; angles 78.95, 85.79, 87.73 degrees
Fractional coordinates of all 9 atoms:
Mg  0.000  0.000  0.000
Ag  0.219  0.529  0.435
Ag  0.727  0.035  0.435
Br  0.472  0.692  0.598
Br  0.982  0.371  0.268
O  0.485  0.128  0.038
O  0.500  0.837  0.036
O  0.938  0.210  0.834
O  0.951  0.950  0.833

# 3
Starting from a cell relaxed with GGA-PBE, the powder diffractogram of K2YInCl6 was computed for copper Kα.
Intensities are scaled so that the largest is 100.

Main lines, by angle (10 to 90 degrees two-theta):
15.62 deg, d 5.673, rel. 91; 22.16 deg, d 4.011, rel. 95; 31.54 deg, d 2.837, rel. 100; 35.38 deg, d 2.537, rel. 43; 38.89 deg, d 2.316, rel. 41; 45.21 deg, d 2.006, rel. 65; 61.12 deg, d 1.516, rel. 23; 74.85 deg, d 1.269, rel. 25

Cell lengths 8.023, 8.023, 8.023 Å; angles 60.00, 60.00, 60.00 degrees
Fractional coordinates of all 10 atoms:
K  0.250  0.250  0.250
K  0.750  0.750  0.750
Y  0.000  0.000  0.000
In  0.500  0.500  0.500
Cl  0.233  0.233  0.767
Cl  0.233  0.767  0.233
Cl  0.233  0.767  0.767
Cl  0.767  0.233  0.233
Cl  0.767  0.233  0.767
Cl  0.767  0.767  0.233

# 4
Starting from a cell relaxed with GGA-PBE, the powder diffractogram of SiO2 was computed for copper Kα.
Intensities are scaled so that the largest is 100.

Main lines, by angle (10 to 90 degrees two-theta):
12.93 deg, d 6.845, rel. 51; 16.77 deg, d 5.287, rel. 97; 16.91 deg, d 5.243, rel. 100; 19.25 deg, d 4.610, rel. 68; 20.52 deg, d 4.329, rel. 35; 24.95 deg, d 3.568, rel. 24; 28.19 deg, d 3.165, rel. 25; 29.43 deg, d 3.035, rel. 30

Cell lengths 11.008, 11.008, 11.008 Å; angles 103.11, 103.11, 123.12 degrees
Fractional coordinates of all 48 atoms:
Si  0.047  0.547  0.880
Si  0.104  0.750  0.354
Si  0.167  0.047  0.500
Si  0.250  0.604  0.354
Si  0.250  0.896  0.646
Si  0.333  0.833  0.880
Si  0.396  0.750  0.646
Si  0.453  0.333  0.500
Si  0.547  0.667  0.500
Si  0.604  0.250  0.354
Si  0.667  0.167  0.120
Si  0.750  0.104  0.354
Si  0.750  0.396  0.646
Si  0.833  0.953  0.500
Si  0.896  0.250  0.646
Si  0.953  0.453  0.120
O  0.000  0.000  0.500
O  0.000  0.500  0.000
O  0.052  0.413  0.783
O  0.087  0.448  0.217
O  0.093  0.743  0.500
O  0.130  0.913  0.360
O  0.224  0.724  0.947
O  0.231  0.870  0.783
O  0.243  0.593  0.500
O  0.257  0.757  0.350
O  0.269  0.052  0.640
O  0.276  0.224  0.500
O  0.370  0.731  0.783
O  0.407  0.907  0.650
O  0.413  0.630  0.360
O  0.448  0.231  0.360
O  0.500  0.000  0.000
O  0.500  0.500  0.500
O  0.552  0.769  0.640
O  0.587  0.370  0.640
O  0.593  0.093  0.350
O  0.630  0.269  0.217
O  0.724  0.776  0.500
O  0.731  0.948  0.360
O  0.743  0.243  0.650
O  0.757  0.407  0.500
O  0.769  0.130  0.217
O  0.776  0.276  0.053
O  0.870  0.087  0.640
O  0.907  0.257  0.500
O  0.913  0.552  0.783
O  0.948  0.587  0.217

# 5
Starting from a cell relaxed with GGA-PBE, the powder diffractogram of Ca2Mg was computed for copper Kα.
Intensities are scaled so that the largest is 100.

Main lines, by angle (10 to 90 degrees two-theta):
27.79 deg, d 3.210, rel. 72; 29.87 deg, d 2.991, rel. 69; 30.77 deg, d 2.906, rel. 48; 31.21 deg, d 2.866, rel. 100; 32.06 deg, d 2.792, rel. 94; 32.46 deg, d 2.758, rel. 40; 49.16 deg, d 1.853, rel. 49; 60.15 deg, d 1.538, rel. 27

Cell lengths 7.219, 7.219, 8.515 Å; angles 103.19, 103.19, 29.74 degrees
Fractional coordinates of all 6 atoms:
Ca  0.000  0.000  0.000
Ca  0.055  0.055  0.594
Ca  0.328  0.328  0.664
Ca  0.682  0.682  0.309
Mg  0.392  0.392  0.266
Mg  0.722  0.722  0.931

# 6
Starting from a cell relaxed with GGA-PBE, the powder diffractogram of GdCr2Fe10 was computed for copper Kα.
Intensities are scaled so that the largest is 100.

Main lines, by angle (10 to 90 degrees two-theta):
30.39 deg, d 2.941, rel. 71; 37.25 deg, d 2.414, rel. 58; 42.81 deg, d 2.113, rel. 58; 42.91 deg, d 2.108, rel. 55; 43.14 deg, d 2.097, rel. 92; 43.23 deg, d 2.093, rel. 66; 44.18 deg, d 2.050, rel. 100; 49.41 deg, d 1.844, rel. 33

Cell lengths 4.688, 6.398, 6.419 Å; angles 82.49, 68.67, 68.63 degrees
Fractional coordinates of all 13 atoms:
Gd  0.000  0.000  0.000
Cr  0.000  0.367  0.633
Cr  0.000  0.633  0.367
Fe  0.000  0.000  0.500
Fe  0.000  0.500  0.000
Fe  0.274  0.226  0.226
Fe  0.358  0.642  0.642
Fe  0.500  0.000  0.500
Fe  0.500  0.229  0.771
Fe  0.500  0.500  0.000
Fe  0.500  0.771  0.229
Fe  0.642  0.358  0.358
Fe  0.726  0.774  0.774

# 7
Starting from a cell relaxed with GGA-PBE, the powder diffractogram of Lu6Sb2Mo was computed for copper Kα.
Intensities are scaled so that the largest is 100.

Main lines, by angle (10 to 90 degrees two-theta):
30.54 deg, d 2.927, rel. 100; 33.23 deg, d 2.696, rel. 57; 34.29 deg, d 2.615, rel. 52; 39.05 deg, d 2.307, rel. 28; 40.36 deg, d 2.235, rel. 30; 42.02 deg, d 2.150, rel. 24; 55.31 deg, d 1.661, rel. 27; 62.35 deg, d 1.489, rel. 23

Cell lengths 7.990, 7.990, 4.300 Å; angles 90.00, 90.00, 120.00 degrees
Fractional coordinates of all 9 atoms:
Lu  0.000  0.239  0.000
Lu  0.000  0.609  0.500
Lu  0.239  0.000  0.000
Lu  0.391  0.391  0.500
Lu  0.609  0.000  0.500
Lu  0.761  0.761  0.000
Sb  0.333  0.667  0.000
Sb  0.667  0.333  0.000
Mo  0.000  0.000  0.500

# 8
Starting from a cell relaxed with GGA-PBE, the powder diffractogram of GeAsSe was computed for copper Kα.
Intensities are scaled so that the largest is 100.

Main lines, by angle (10 to 90 degrees two-theta):
13.97 deg, d 6.339, rel. 47; 23.86 deg, d 3.729, rel. 31; 25.36 deg, d 3.512, rel. 20; 28.18 deg, d 3.167, rel. 100; 32.38 deg, d 2.765, rel. 35; 45.15 deg, d 2.008, rel. 22; 45.40 deg, d 1.998, rel. 18; 49.87 deg, d 1.829, rel. 25

Cell lengths 5.147, 10.384, 12.677 Å; angles 90.00, 90.00, 90.00 degrees
Fractional coordinates of all 24 atoms:
Ge  0.202  0.250  0.250
Ge  0.250  0.000  0.734
Ge  0.250  0.500  0.766
Ge  0.298  0.750  0.250
Ge  0.702  0.250  0.750
Ge  0.750  0.000  0.266
Ge  0.750  0.500  0.234
Ge  0.798  0.750  0.750
As  0.080  0.585  0.363
As  0.080  0.915  0.137
As  0.420  0.085  0.137
As  0.420  0.415  0.363
As  0.580  0.585  0.637
As  0.580  0.915  0.863
As  0.920  0.085  0.863
As  0.920  0.415  0.637
Se  0.073  0.657  0.884
Se  0.073  0.843  0.616
Se  0.427  0.157  0.616
Se  0.427  0.343  0.884
Se  0.573  0.657  0.116
Se  0.573  0.843  0.384
Se  0.927  0.157  0.384
Se  0.927  0.343  0.116

# 9
Starting from a cell relaxed with GGA-PBE, the powder diffractogram of CsSnI3 was computed for copper Kα.
Intensities are scaled so that the largest is 100.

Main lines, by angle (10 to 90 degrees two-theta):
19.98 deg, d 4.445, rel. 19; 24.53 deg, d 3.629, rel. 73; 28.40 deg, d 3.143, rel. 100; 40.59 deg, d 2.223, rel. 76; 48.00 deg, d 1.895, rel. 34; 50.28 deg, d 1.815, rel. 27; 66.52 deg, d 1.406, rel. 35; 73.85 deg, d 1.283, rel. 26

Cell lengths 6.286, 6.286, 6.286 Å; angles 90.00, 90.00, 90.00 degrees
Fractional coordinates of all 5 atoms:
Cs  0.000  0.000  0.000
Sn  0.500  0.500  0.500
I  0.000  0.500  0.500
I  0.500  0.000  0.500
I  0.500  0.500  0.000

# 10
Starting from a cell relaxed with GGA-PBE, the powder diffractogram of EuPbO3 was computed for copper Kα.
Intensities are scaled so that the largest is 100.

Main lines, by angle (10 to 90 degrees two-theta):
20.73 deg, d 4.285, rel. 5; 29.48 deg, d 3.030, rel. 100; 42.18 deg, d 2.142, rel. 27; 52.30 deg, d 1.749, rel. 42; 61.18 deg, d 1.515, rel. 18; 69.35 deg, d 1.355, rel. 19; 77.11 deg, d 1.237, rel. 6; 84.63 deg, d 1.145, rel. 23

Cell lengths 4.285, 4.285, 4.285 Å; angles 90.00, 90.00, 90.00 degrees
Fractional coordinates of all 5 atoms:
Eu  0.000  0.000  0.000
Pb  0.500  0.500  0.500
O  0.000  0.500  0.500
O  0.500  0.000  0.500
O  0.500  0.500  0.000